No. 1
Ge3Rh5: theoretical powder diffractogram (Cu Ka), based on a GGA-PBE-relaxed structure.
Peak positions follow from Bragg's law for the DFT cell and can differ from measured ones.

Structural model:
```
Ge3Rh5
1.0
5.5152 0.0000 0.0000
0.0000 10.5188 0.0000
0.0000 0.0000 4.0065
Ge Rh
6 10
direct
0.0000 0.0000 0.0000 Ge
0.0999 0.3465 0.5000 Ge
0.4001 0.8465 0.5000 Ge
0.5000 0.5000 0.0000 Ge
0.5999 0.1535 0.5000 Ge
0.9001 0.6535 0.5000 Ge
0.0000 0.5000 0.0000 Rh
0.1551 0.7831 0.0000 Rh
0.1673 0.1075 0.5000 Rh
0.3327 0.6075 0.5000 Rh
0.3449 0.2831 0.0000 Rh
0.5000 0.0000 0.0000 Rh
0.6551 0.7169 0.0000 Rh
0.6673 0.3925 0.5000 Rh
0.8327 0.8925 0.5000 Rh
0.8449 0.2169 0.0000 Rh
```

The 12 most intense peaks (10 to 90 degrees two-theta), by angle:
2θ (°), I (rel.)
32.4, 28
37.8, 19
37.9, 22
40.6, 94
41.1, 100
41.7, 31
43.4, 37
45.3, 54
54.9, 16
63.2, 18
73.8, 16
80.7, 20

=====

No. 2
Rb3U2SnS9: theoretical powder diffractogram (Cu Ka), based on a GGA-PBE-relaxed structure.
Peak positions follow from Bragg's law for the DFT cell and can differ from measured ones.

Structural model:
```
Rb3U2SnS9
1.0
7.3077 0.0000 0.0000
-3.6538 6.3286 0.0000
0.0000 0.0000 8.9966
Rb U Sn S
3 2 1 9
direct
0.0000 0.0000 0.0000 Rb
0.3333 0.6667 0.6646 Rb
0.6667 0.3333 0.3354 Rb
0.3333 0.6667 0.1709 U
0.6667 0.3333 0.8291 U
0.0000 0.0000 0.5000 Sn
0.0000 0.5000 0.0000 S
0.1688 0.3377 0.3254 S
0.1688 0.8312 0.3254 S
0.3377 0.1688 0.6746 S
0.5000 0.0000 0.0000 S
0.5000 0.5000 0.0000 S
0.6623 0.8312 0.3254 S
0.8312 0.1688 0.6746 S
0.8312 0.6623 0.6746 S
```

The 12 most intense peaks (10 to 90 degrees two-theta), by angle:
2θ (°), I (rel.)
17.1, 40
24.3, 100
34.7, 49
38.8, 10
39.0, 10
42.7, 12
42.8, 35
49.7, 17
49.9, 17
56.1, 11
56.3, 11
67.8, 13

=====

No. 3
CsRbScI2: theoretical powder diffractogram (Cu Ka), based on a GGA-PBE-relaxed structure.
Peak positions follow from Bragg's law for the DFT cell and can differ from measured ones.

Structural model:
```
CsRbScI2
1.0
7.0272 0.0000 0.0000
0.0000 7.0272 0.0000
0.0000 0.0000 7.3119
Cs Rb Sc I
1 1 1 2
direct
0.0000 0.0000 0.0000 Cs
0.0000 0.0000 0.5000 Rb
0.5000 0.5000 0.5000 Sc
0.0000 0.5000 0.0000 I
0.5000 0.0000 0.0000 I
```

The 12 most intense peaks (10 to 90 degrees two-theta), by angle:
2θ (°), I (rel.)
12.1, 64
12.6, 55
21.6, 73
24.3, 55
25.3, 100
28.2, 36
35.4, 82
36.2, 39
42.5, 24
44.1, 44
56.8, 20
64.6, 28

=====

No. 4
DyThAu3: theoretical powder diffractogram (Cu Ka), based on a GGA-PBE-relaxed structure.
Peak positions follow from Bragg's law for the DFT cell and can differ from measured ones.

Structural model:
```
DyThAu3
1.0
1.7716 -14.1620 0.0000
1.7716 14.1620 0.0000
0.0000 0.0000 4.6918
Dy Th Au
2 2 6
direct
0.2074 0.7926 0.7500 Dy
0.7926 0.2074 0.2500 Dy
0.0738 0.9262 0.2500 Th
0.9262 0.0738 0.7500 Th
0.3162 0.6838 0.7500 Au
0.3772 0.6228 0.2500 Au
0.4748 0.5252 0.2500 Au
0.5252 0.4748 0.7500 Au
0.6228 0.3772 0.7500 Au
0.6838 0.3162 0.2500 Au
```

The 12 most intense peaks (10 to 90 degrees two-theta), by angle:
2θ (°), I (rel.)
33.1, 100
33.6, 36
37.1, 69
38.4, 41
43.0, 21
49.1, 14
51.6, 19
51.9, 21
64.0, 13
65.2, 27
66.1, 32
68.5, 12